LaZnAg2: theoretical powder diffractogram (Cu Kα (weighted mean of Kα1 and Kα2)), based on a DFT-relaxed cell (PBE, OQMD).
Lines closer than 0.1° are merged.

Structure:
Cell: 4.720 5.935 6.555 Å, 90.00 90.00 90.00°
Sites, in units of the cell vectors:
La: 0.000 0.116 0.000
La: 0.500 0.884 0.500
Zn: 0.000 0.636 0.230
Zn: 0.500 0.364 0.730
Ag: 0.000 0.262 0.500
Ag: 0.000 0.631 0.770
Ag: 0.500 0.369 0.270
Ag: 0.500 0.738 0.000

The 10 most intense peaks (2θ = 10–90°), in order of rising 2θ:
2θ = 27.7°, I = 18
2θ = 31.2°, I = 31
2θ = 33.1°, I = 19
2θ = 35.7°, I = 43
2θ = 36.7°, I = 100
2θ = 38.1°, I = 37
2θ = 38.4°, I = 12
2θ = 50.0°, I = 18
2θ = 51.4°, I = 11
2θ = 68.0°, I = 15

Li17Ag4: theoretical powder diffractogram (Cu Kα (weighted mean of Kα1 and Kα2)), based on a DFT-relaxed cell (PBE, OQMD).
Lines closer than 0.1° are merged.

Structure:
Cell: 5.317 5.317 28.927 Å, 95.98 95.98 55.08°
Sites, in units of the cell vectors:
Li: 0.000 0.000 0.000
Li: 0.074 0.030 0.905
Li: 0.120 0.420 0.977
Li: 0.124 0.082 0.803
Li: 0.157 0.458 0.881
Li: 0.193 0.192 0.619
Li: 0.228 0.565 0.697
Li: 0.229 0.230 0.523
Li: 0.277 0.619 0.595
Li: 0.352 0.648 0.500
Li: 0.355 0.341 0.336
Li: 0.381 0.723 0.405
Li: 0.400 0.352 0.241
Li: 0.420 0.419 0.145
Li: 0.435 0.772 0.303
Li: 0.493 0.452 0.050
Li: 0.542 0.843 0.119
Li: 0.548 0.507 0.950
Li: 0.580 0.880 0.023
Li: 0.581 0.580 0.855
Li: 0.648 0.600 0.759
Li: 0.659 0.645 0.664
Li: 0.692 0.003 0.836
Li: 0.705 0.048 0.741
Li: 0.770 0.771 0.477
Li: 0.771 0.067 0.645
Li: 0.803 0.141 0.550
Li: 0.808 0.807 0.381
Li: 0.859 0.197 0.450
Li: 0.918 0.876 0.197
Li: 0.933 0.229 0.355
Li: 0.952 0.295 0.259
Li: 0.970 0.926 0.095
Li: 0.997 0.308 0.164
Ag: 0.062 0.360 0.071
Ag: 0.150 0.123 0.711
Ag: 0.202 0.524 0.789
Ag: 0.290 0.289 0.429
Ag: 0.476 0.798 0.211
Ag: 0.640 0.938 0.929
Ag: 0.711 0.710 0.571
Ag: 0.877 0.850 0.289

The 10 most intense peaks (2θ = 10–90°), in order of rising 2θ:
2θ = 18.5°, I = 24
2θ = 19.0°, I = 24
2θ = 20.6°, I = 31
2θ = 22.0°, I = 100
2θ = 25.0°, I = 48
2θ = 26.4°, I = 27
2θ = 39.0°, I = 28
2θ = 41.3°, I = 30
2θ = 41.8°, I = 27
2θ = 42.3°, I = 30

LiMg6Ag: theoretical powder diffractogram (Cu Kα (weighted mean of Kα1 and Kα2)), based on a DFT-relaxed cell (PBE, OQMD).
Lines closer than 0.1° are merged.

Structure:
Cell: 6.218 6.218 4.953 Å, 90.00 90.00 120.00°
Sites, in units of the cell vectors:
Li: 0.000 0.000 0.000
Mg: 0.006 0.503 0.000
Mg: 0.327 0.164 0.500
Mg: 0.497 0.503 0.000
Mg: 0.497 0.994 0.000
Mg: 0.836 0.164 0.500
Mg: 0.836 0.673 0.500
Ag: 0.333 0.667 0.500

The 10 most intense peaks (2θ = 10–90°), in order of rising 2θ:
2θ = 16.5°, I = 69
2θ = 17.9°, I = 22
2θ = 24.4°, I = 33
2θ = 33.3°, I = 34
2θ = 34.0°, I = 27
2θ = 36.3°, I = 24
2θ = 38.0°, I = 100
2θ = 50.0°, I = 20
2θ = 66.4°, I = 18
2θ = 71.7°, I = 18

Li4MgSiAg2: theoretical powder diffractogram (Cu Kα (weighted mean of Kα1 and Kα2)), based on a DFT-relaxed cell (PBE, OQMD).
Lines closer than 0.1° are merged.

Structure:
Cell: 4.418 4.418 6.369 Å, 90.00 90.00 90.00°
Sites, in units of the cell vectors:
Li: 0.000 0.000 0.000
Li: 0.000 0.500 0.727
Li: 0.500 0.000 0.273
Li: 0.500 0.500 0.500
Mg: 0.500 0.500 0.000
Si: 0.000 0.000 0.500
Ag: 0.000 0.500 0.271
Ag: 0.500 0.000 0.729

The 10 most intense peaks (2θ = 10–90°), in order of rising 2θ:
2θ = 24.5°, I = 100
2θ = 28.0°, I = 10
2θ = 28.6°, I = 21
2θ = 40.4°, I = 47
2θ = 40.8°, I = 24
2θ = 47.5°, I = 14
2θ = 48.2°, I = 31
2θ = 59.1°, I = 8
2θ = 64.4°, I = 11
2θ = 74.1°, I = 15

LiNdAg3S4: theoretical powder diffractogram (Cu Kα (weighted mean of Kα1 and Kα2)), based on a DFT-relaxed cell (PBE, OQMD).
Lines closer than 0.1° are merged.

Structure:
Cell: 6.092 6.092 6.092 Å, 90.00 90.00 90.00°
Sites, in units of the cell vectors:
Li: 0.000 0.000 0.000
Nd: 0.500 0.500 0.500
Ag: 0.000 0.500 0.500
Ag: 0.500 0.000 0.500
Ag: 0.500 0.500 0.000
S: 0.245 0.245 0.245
S: 0.245 0.755 0.755
S: 0.755 0.245 0.755
S: 0.755 0.755 0.245

The 10 most intense peaks (2θ = 10–90°), in order of rising 2θ:
2θ = 14.5°, I = 100
2θ = 25.3°, I = 36
2θ = 29.3°, I = 38
2θ = 32.9°, I = 60
2θ = 41.9°, I = 87
2θ = 44.6°, I = 31
2θ = 49.6°, I = 15
2θ = 60.8°, I = 14
2θ = 62.9°, I = 18
2θ = 76.6°, I = 28

LiNiAgSeS2: theoretical powder diffractogram (Cu Kα (weighted mean of Kα1 and Kα2)), based on a DFT-relaxed cell (PBE, OQMD).
Lines closer than 0.1° are merged.

Structure:
Cell: 6.933 6.933 9.842 Å, 90.00 90.00 152.70°
Sites, in units of the cell vectors:
Li: 0.188 0.812 0.750
Li: 0.812 0.188 0.250
Ni: 0.500 0.500 0.000
Ni: 0.500 0.500 0.500
Ag: 0.142 0.858 0.250
Ag: 0.858 0.142 0.750
Se: 0.456 0.544 0.250
Se: 0.544 0.456 0.750
S: 0.117 0.883 0.008
S: 0.117 0.883 0.492
S: 0.883 0.117 0.508
S: 0.883 0.117 0.992

The 10 most intense peaks (2θ = 10–90°), in order of rising 2θ:
2θ = 13.1°, I = 92
2θ = 15.9°, I = 41
2θ = 28.0°, I = 31
2θ = 29.5°, I = 48
2θ = 33.9°, I = 100
2θ = 35.1°, I = 34
2θ = 36.5°, I = 63
2θ = 41.2°, I = 26
2θ = 50.7°, I = 60
2θ = 56.2°, I = 19

Li4NiAgSb2: theoretical powder diffractogram (Cu Kα (weighted mean of Kα1 and Kα2)), based on a DFT-relaxed cell (PBE, OQMD).
Lines closer than 0.1° are merged.

Structure:
Cell: 4.463 4.463 6.454 Å, 90.00 90.00 90.00°
Sites, in units of the cell vectors:
Li: 0.000 0.000 0.000
Li: 0.000 0.500 0.236
Li: 0.500 0.000 0.764
Li: 0.500 0.500 0.500
Ni: 0.500 0.500 0.000
Ag: 0.000 0.000 0.500
Sb: 0.000 0.500 0.774
Sb: 0.500 0.000 0.226

The 10 most intense peaks (2θ = 10–90°), in order of rising 2θ:
2θ = 24.2°, I = 100
2θ = 40.0°, I = 61
2θ = 40.4°, I = 31
2θ = 46.9°, I = 15
2θ = 47.7°, I = 31
2θ = 58.5°, I = 10
2θ = 63.6°, I = 11
2θ = 72.3°, I = 9
2θ = 73.2°, I = 19
2θ = 78.7°, I = 7

LiNiAgTeSe2: theoretical powder diffractogram (Cu Kα (weighted mean of Kα1 and Kα2)), based on a DFT-relaxed cell (PBE, OQMD).
Lines closer than 0.1° are merged.

Structure:
Cell: 7.015 7.015 10.545 Å, 90.00 90.00 151.12°
Sites, in units of the cell vectors:
Li: 0.224 0.776 0.750
Li: 0.776 0.224 0.250
Ni: 0.500 0.500 0.000
Ni: 0.500 0.500 0.500
Ag: 0.119 0.881 0.250
Ag: 0.881 0.119 0.750
Te: 0.438 0.562 0.250
Te: 0.562 0.438 0.750
Se: 0.122 0.878 0.010
Se: 0.122 0.878 0.490
Se: 0.878 0.122 0.510
Se: 0.878 0.122 0.990

The 10 most intense peaks (2θ = 10–90°), in order of rising 2θ:
2θ = 13.0°, I = 100
2θ = 26.2°, I = 30
2θ = 27.6°, I = 54
2θ = 32.3°, I = 73
2θ = 33.5°, I = 72
2θ = 34.0°, I = 80
2θ = 41.5°, I = 29
2θ = 43.5°, I = 24
2θ = 47.6°, I = 47
2θ = 63.9°, I = 24